No. 1
Diffraction record for La2Al3Sn. The X-ray powder pattern is theoretical, not measured: it uses a structure optimized by DFT (GGA-PBE) and CuKα.
Lines closer than 0.1° are merged.

Main lines, low angle first (2θ = 5–70°):
2θ = 22.75°, 3.909 Å, rel. 25.3
2θ = 30.44°, 2.937 Å, rel. 100.0
2θ = 39.95°, 2.257 Å, rel. 36.7
2θ = 51.04°, 1.789 Å, rel. 23.5
2θ = 58.24°, 1.584 Å, rel. 24.3
2θ = 66.71°, 1.402 Å, rel. 21.0

Cell and atoms:
Cell lengths 4.4492, 4.5137, 7.8174 Å; angles 90.00, 90.00, 90.00 degrees
Element x y z (fractional)
La  0.0000  0.0000  0.0000
La  0.0000  0.5000  0.4931
Al  0.5000  0.0000  0.3262
Al  0.5000  0.0000  0.6505
Al  0.5000  0.5000  0.1743
Sn  0.5000  0.5000  0.8325

***

No. 2
Diffraction record for Ni5Sb2. The X-ray powder pattern is theoretical, not measured: it uses a structure optimized by DFT (GGA-PBE) and CuKα.
Lines closer than 0.1° are merged.

Main lines, low angle first (2θ = 5–70°):
2θ = 37.13°, 2.421 Å, rel. 33.1
2θ = 42.17°, 2.143 Å, rel. 30.5
2θ = 43.04°, 2.102 Å, rel. 66.4
2θ = 43.33°, 2.088 Å, rel. 30.8
2θ = 44.61°, 2.031 Å, rel. 100.0
2θ = 46.12°, 1.968 Å, rel. 93.9

Cell and atoms:
Cell lengths 7.0266, 7.0266, 6.1428 Å; angles 115.58, 115.58, 45.34 degrees
Element x y z (fractional)
Ni  0.0183  0.5237  0.7414
Ni  0.1018  0.1018  0.4053
Ni  0.2480  0.7520  0.0000
Ni  0.3722  0.3722  0.1495
Ni  0.4763  0.9817  0.2586
Ni  0.5237  0.0183  0.7414
Ni  0.6278  0.6278  0.8505
Ni  0.7520  0.2480  0.0000
Ni  0.8982  0.8982  0.5947
Ni  0.9817  0.4763  0.2586
Sb  0.1269  0.1269  0.8494
Sb  0.3972  0.3972  0.5974
Sb  0.6028  0.6028  0.4026
Sb  0.8731  0.8731  0.1506

***

No. 3
Diffraction record for LiMoN2. The X-ray powder pattern is theoretical, not measured: it uses a structure optimized by DFT (GGA-PBE) and CuKα.
Lines closer than 0.1° are merged.

Main lines, low angle first (2θ = 5–70°):
2θ = 16.65°, 5.325 Å, rel. 100.0
2θ = 36.02°, 2.494 Å, rel. 37.7
2θ = 37.36°, 2.407 Å, rel. 33.6
2θ = 42.35°, 2.134 Å, rel. 29.6
2θ = 45.81°, 1.981 Å, rel. 29.0
2θ = 54.18°, 1.693 Å, rel. 17.6

Cell and atoms:
Cell lengths 5.5844, 5.5844, 5.5844 Å; angles 30.26, 30.26, 30.26 degrees
Element x y z (fractional)
Li  0.0000  0.0000  0.0000
Mo  0.1721  0.1721  0.1721
N  0.4284  0.4284  0.4284
N  0.5833  0.5833  0.5833

***

No. 4
Diffraction record for Re3Te7I7. The X-ray powder pattern is theoretical, not measured: it uses a structure optimized by DFT (GGA-PBE) and CuKα.
Lines closer than 0.1° are merged.

Main lines, low angle first (2θ = 5–70°):
2θ = 7.38°, 11.977 Å, rel. 93.0
2θ = 8.95°, 9.883 Å, rel. 69.1
2θ = 9.35°, 9.460 Å, rel. 100.0
2θ = 10.25°, 8.630 Å, rel. 56.3
2θ = 12.03°, 7.355 Å, rel. 37.4
2θ = 26.50°, 3.363 Å, rel. 33.1

Cell and atoms:
Cell lengths 11.1604, 11.2367, 12.4357 Å; angles 86.70, 74.99, 61.90 degrees
Element x y z (fractional)
Re  0.0615  0.1176  0.4118
Re  0.1138  0.9843  0.5982
Re  0.1559  0.8459  0.4078
Re  0.8441  0.1541  0.5922
Re  0.8862  0.0157  0.4018
Re  0.9385  0.8824  0.5882
Te  0.0188  0.2563  0.6030
Te  0.1029  0.9789  0.2225
Te  0.1513  0.2875  0.3009
Te  0.2077  0.7132  0.5953
Te  0.2923  0.9571  0.7211
Te  0.3306  0.9480  0.4173
Te  0.3761  0.6171  0.2972
Te  0.6239  0.3829  0.7028
Te  0.6694  0.0520  0.5827
Te  0.7077  0.0429  0.2789
Te  0.7923  0.2868  0.4047
Te  0.8487  0.7125  0.6991
Te  0.8971  0.0211  0.7775
Te  0.9812  0.7437  0.3970
I  0.0179  0.5956  0.8548
I  0.1439  0.1720  0.8890
I  0.2885  0.7687  0.8765
I  0.2974  0.5482  0.1238
I  0.3598  0.3108  0.4422
I  0.3908  0.1254  0.1314
I  0.4335  0.3072  0.8429
I  0.5665  0.6928  0.1571
I  0.6092  0.8746  0.8686
I  0.6402  0.6892  0.5578
I  0.7026  0.4518  0.8762
I  0.7115  0.2313  0.1235
I  0.8561  0.8280  0.1110
I  0.9821  0.4044  0.1452

***

No. 5
Diffraction record for Na3LaHfSiP2O12. The X-ray powder pattern is theoretical, not measured: it uses a structure optimized by DFT (GGA-PBE) and CuKα.
Lines closer than 0.1° are merged.

Main lines, low angle first (2θ = 5–70°):
2θ = 18.82°, 4.716 Å, rel. 100.0
2θ = 18.90°, 4.696 Å, rel. 95.0
2θ = 26.76°, 3.332 Å, rel. 34.6
2θ = 30.07°, 2.971 Å, rel. 85.2
2θ = 32.85°, 2.727 Å, rel. 51.1
2θ = 32.98°, 2.716 Å, rel. 48.2

Cell and atoms:
Cell lengths 9.3941, 9.3941, 9.3875 Å; angles 119.80, 119.80, 60.48 degrees
Element x y z (fractional)
Na  0.0742  0.9258  0.5000
Na  0.2124  0.6444  0.0633
Na  0.5880  0.7623  0.3035
Na  0.6444  0.2124  0.5633
Na  0.7623  0.5880  0.8035
Na  0.9258  0.0742  0.0000
La  0.3317  0.8215  0.9168
La  0.8215  0.3317  0.4168
Hf  0.0456  0.5275  0.2094
Hf  0.5275  0.0456  0.7094
Si  0.4136  0.6543  0.5029
Si  0.6543  0.4136  0.0029
P  0.1519  0.2391  0.8400
P  0.2391  0.1519  0.3400
P  0.7558  0.9046  0.1040
P  0.9046  0.7558  0.6040
O  0.0383  0.8064  0.7854
O  0.0946  0.1679  0.3831
O  0.1401  0.4101  0.9992
O  0.1679  0.0946  0.8831
O  0.1870  0.3148  0.2924
O  0.2415  0.6355  0.3245
O  0.2687  0.9819  0.1851
O  0.3148  0.1870  0.7924
O  0.3441  0.7192  0.6585
O  0.4101  0.1401  0.4992
O  0.4687  0.8202  0.5443
O  0.4752  0.5777  0.0080
O  0.5777  0.4752  0.5080
O  0.6073  0.8594  0.0793
O  0.6355  0.2415  0.8245
O  0.7038  0.9607  0.9449
O  0.7192  0.3441  0.1585
O  0.7348  0.9191  0.5941
O  0.8064  0.0383  0.2854
O  0.8202  0.4687  0.0443
O  0.8594  0.6073  0.5793
O  0.9191  0.7348  0.0941
O  0.9607  0.7038  0.4449
O  0.9819  0.2687  0.6851

***

No. 6
Diffraction record for Ca3SbP. The X-ray powder pattern is theoretical, not measured: it uses a structure optimized by DFT (GGA-PBE) and CuKα.
Lines closer than 0.1° are merged.

Main lines, low angle first (2θ = 5–70°):
2θ = 15.45°, 5.736 Å, rel. 100.0
2θ = 21.91°, 4.056 Å, rel. 61.7
2θ = 31.18°, 2.868 Å, rel. 82.1
2θ = 34.98°, 2.565 Å, rel. 54.0
2θ = 38.44°, 2.342 Å, rel. 28.2
2θ = 44.68°, 2.028 Å, rel. 57.5

Cell and atoms:
Cell lengths 5.7363, 5.7363, 5.7363 Å; angles 90.00, 90.00, 90.00 degrees
Element x y z (fractional)
Ca  0.0000  0.0000  0.5000
Ca  0.0000  0.5000  0.0000
Ca  0.5000  0.0000  0.0000
Sb  0.0000  0.0000  0.0000
P  0.5000  0.5000  0.5000

***

No. 7
Diffraction record for Tb4NiB13. The X-ray powder pattern is theoretical, not measured: it uses a structure optimized by DFT (GGA-PBE) and CuKα.
Lines closer than 0.1° are merged.

Main lines, low angle first (2θ = 5–70°):
2θ = 24.18°, 3.681 Å, rel. 38.1
2θ = 25.60°, 3.479 Å, rel. 59.0
2θ = 27.08°, 3.292 Å, rel. 94.4
2θ = 35.50°, 2.528 Å, rel. 38.8
2θ = 37.61°, 2.391 Å, rel. 100.0
2θ = 58.06°, 1.589 Å, rel. 39.7

Cell and atoms:
Cell lengths 7.3620, 7.3620, 6.9583 Å; angles 90.00, 90.00, 90.00 degrees
Element x y z (fractional)
Tb  0.1804  0.3148  0.0000
Tb  0.1852  0.3196  0.5000
Tb  0.3148  0.8196  0.0000
Tb  0.3196  0.8148  0.5000
Tb  0.6804  0.1852  0.5000
Tb  0.6852  0.1804  0.0000
Tb  0.8148  0.6804  0.5000
Tb  0.8196  0.6852  0.0000
Ni  0.0000  0.0000  0.5000
Ni  0.5000  0.5000  0.0000
B  0.0000  0.0000  0.0000
B  0.0400  0.8302  0.2443
B  0.0400  0.8302  0.7557
B  0.0934  0.5934  0.2500
B  0.0934  0.5934  0.7500
B  0.1698  0.0400  0.2443
B  0.1698  0.0400  0.7557
B  0.3302  0.5400  0.2557
B  0.3302  0.5400  0.7443
B  0.4066  0.0934  0.2500
B  0.4066  0.0934  0.7500
B  0.4600  0.3302  0.2557
B  0.4600  0.3302  0.7443
B  0.5000  0.5000  0.5000
B  0.5400  0.6698  0.2557
B  0.5400  0.6698  0.7443
B  0.5934  0.9066  0.2500
B  0.5934  0.9066  0.7500
B  0.6698  0.4600  0.2557
B  0.6698  0.4600  0.7443
B  0.8302  0.9600  0.2443
B  0.8302  0.9600  0.7557
B  0.9066  0.4066  0.2500
B  0.9066  0.4066  0.7500
B  0.9600  0.1698  0.2443
B  0.9600  0.1698  0.7557